Calculated XRD peak list of Ba2TlCd6Ag for λ = 1.5418 Å (Cu Kα), from DFT lattice parameters and positions (GGA-PBE).
Neutral-atom scattering factors, no anomalous dispersion.

Top 10 peaks for 15 to 90 degrees two-theta, by angle:
h k l, d_spacing, two_theta, intensity
1 1 0, 3.655, 24.4, 62
1 1 6, 3.198, 27.9, 45
0 1 11, 3.132, 28.5, 38
2 0 5, 2.940, 30.4, 43
0 2 7, 2.763, 32.4, 100
1 0 13, 2.749, 32.6, 65
1 2 2, 2.376, 37.9, 67
3 0 9, 1.903, 47.8, 25
2 2 0, 1.827, 49.9, 46
4 0 7, 1.524, 60.8, 24

```
data_Ba2TlCd6Ag
_chemical_formula_sum 'Ba12 Tl6 Cd36 Ag6'
_cell_length_a 7.3093
_cell_length_b 7.3093
_cell_length_c 39.6655
_cell_angle_alpha 90.00
_cell_angle_beta 90.00
_cell_angle_gamma 120.00
_symmetry_space_group_name_H-M 'R -3 m'
_symmetry_Int_Tables_number 166
_symmetry_space_group_name_Hall '-R 3 2"'
loop_
_atom_site_label
_atom_site_type_symbol
_atom_site_fract_x
_atom_site_fract_y
_atom_site_fract_z
_atom_site_occupancy
Ba1 Ba 0.0000 0.0000 0.1062 1
Ba2 Ba 0.0000 0.0000 0.2785 1
Tl1 Tl 0.0000 0.0000 0.4246 1
Cd1 Cd 0.0606 0.5303 0.3064 1
Cd2 Cd 0.0669 0.5335 0.8608 1
Ag1 Ag 0.0000 0.0000 0.0000 1
Ag2 Ag 0.0000 0.0000 0.5000 1
```